Entry 1:
This entry pairs a crystal structure of PuUSb2 with its calculated PXRD pattern. Radiation: λ = 1.5418 Å (Cu Kα). Structure: a cell relaxed with GGA-PBE.
Intensities are scaled so that the largest is 100.

Atomic structure:
Cell: 4.2506 4.2506 23.3006 Å, 90.00 90.00 120.00°
Space group R3m (No. 160, hexagonal axes)
One atom of each set of equivalent atoms:
Pu 0.0000 0.0000 0.0000 (multiplicity 3)
U 0.0000 0.0000 0.1691 (multiplicity 3)
Sb 0.0000 0.0000 0.4183 (multiplicity 3)
Sb 0.0000 0.0000 0.5851 (multiplicity 3)

The 10 most intense peaks (10 to 80 degrees two-theta), in order of rising 2θ:
- 24.48 deg, d = 3.636 Å, intensity 27.7, hkl 1 0 1
- 25.37 deg, d = 3.510 Å, intensity 43.1, hkl 0 1 2
- 30.96 deg, d = 2.889 Å, intensity 100.0, hkl 0 1 5
- 36.39 deg, d = 2.469 Å, intensity 61.2, hkl 1 0 7
- 42.54 deg, d = 2.125 Å, intensity 58.7, hkl 1 1 0
- 53.53 deg, d = 1.712 Å, intensity 21.9, hkl 2 0 5
- 57.19 deg, d = 1.611 Å, intensity 19.2, hkl 0 2 7
- 65.07 deg, d = 1.434 Å, intensity 33.7, hkl 1 1 12
- 70.65 deg, d = 1.333 Å, intensity 19.4, hkl 1 2 5
- 73.80 deg, d = 1.284 Å, intensity 26.4, hkl 0 1 17

***

Entry 2:
This entry pairs a crystal structure of Y4PuSb5 with its calculated PXRD pattern. Radiation: λ = 1.5418 Å (Cu Kα). Structure: a cell relaxed with GGA-PBE.
Intensities are scaled so that the largest is 100.

Atomic structure:
Cell: 4.4018 4.4018 31.0686 Å, 90.00 90.00 90.00°
Space group I4/mmm (No. 139)
One atom of each set of equivalent atoms:
Y 0.0000 0.0000 0.1006 (multiplicity 4)
Y 0.0000 0.0000 0.2997 (multiplicity 4)
Pu 0.0000 0.0000 0.5000 (multiplicity 2)
Sb 0.0000 0.0000 0.0000 (multiplicity 2)
Sb 0.0000 0.0000 0.2001 (multiplicity 4)
Sb 0.0000 0.0000 0.3997 (multiplicity 4)

The 10 most intense peaks (10 to 80 degrees two-theta), in order of rising 2θ:
- 11.39 deg, d = 7.767 Å, intensity 3.5, hkl 0 0 4
- 20.38 deg, d = 4.358 Å, intensity 4.0, hkl 1 0 1
- 28.70 deg, d = 3.111 Å, intensity 100.0, hkl 1 1 0
- 41.03 deg, d = 2.200 Å, intensity 75.6, hkl 2 0 0
- 50.84 deg, d = 1.796 Å, intensity 26.9, hkl 2 0 10
- 59.39 deg, d = 1.556 Å, intensity 8.4, hkl 2 2 0
- 59.51 deg, d = 1.553 Å, intensity 4.2, hkl 0 0 20
- 67.27 deg, d = 1.392 Å, intensity 23.1, hkl 3 1 0
- 67.37 deg, d = 1.390 Å, intensity 11.4, hkl 1 1 20
- 74.75 deg, d = 1.270 Å, intensity 25.3, hkl 3 1 10

***

Entry 3:
This entry pairs a crystal structure of YPu3Sb4 with its calculated PXRD pattern. Radiation: λ = 1.5418 Å (Cu Kα). Structure: a cell relaxed with GGA-PBE.
Intensities are scaled so that the largest is 100.

Atomic structure:
Cell: 7.6434 8.8355 7.6511 Å, 90.00 109.48 90.00°
Space group P2/c (No. 13)
One atom of each set of equivalent atoms:
Y 0.0000 0.1246 0.2500 (multiplicity 2)
Pu 0.0000 0.3736 0.7500 (multiplicity 2)
Pu 0.5000 0.1243 0.7500 (multiplicity 2)
Pu 0.5000 0.3740 0.2500 (multiplicity 2)
Sb 0.2495 0.1242 0.9992 (multiplicity 4)
Sb 0.2496 0.3754 0.5000 (multiplicity 4)

The 10 most intense peaks (10 to 80 degrees two-theta), in order of rising 2θ:
- 12.28 deg, d = 7.206 Å, intensity 2.6, hkl 1 0 0
- 15.87 deg, d = 5.586 Å, intensity 3.1, hkl 0 1 1
- 24.69 deg, d = 3.606 Å, intensity 10.6, hkl 2 0 0
- 28.59 deg, d = 3.123 Å, intensity 100.0, hkl 1 2 1
- 40.87 deg, d = 2.208 Å, intensity 77.1, hkl 2 0 2
- 48.34 deg, d = 1.883 Å, intensity 5.9, hkl 3 2 1
- 50.63 deg, d = 1.803 Å, intensity 27.8, hkl 4 0 0
- 59.18 deg, d = 1.561 Å, intensity 13.1, hkl 2 4 2
- 67.02 deg, d = 1.396 Å, intensity 36.0, hkl 4 4 0
- 74.42 deg, d = 1.275 Å, intensity 26.7, hkl 5 2 1

***

Entry 4:
This entry pairs a crystal structure of Pu2ZrSb with its calculated PXRD pattern. Radiation: λ = 1.5418 Å (Cu Kα). Structure: a cell relaxed with GGA-PBE.
Intensities are scaled so that the largest is 100.

Atomic structure:
Cell: 4.4485 4.4485 4.8195 Å, 90.00 90.00 90.00°
Space group P4/mmm (No. 123)
One atom of each set of equivalent atoms:
Pu 0.0000 0.5000 0.0000 (multiplicity 2)
Zr 0.0000 0.0000 0.5000 (multiplicity 1)
Sb 0.5000 0.5000 0.5000 (multiplicity 1)

The 10 most intense peaks (10 to 80 degrees two-theta), in order of rising 2θ:
- 18.41 deg, d = 4.820 Å, intensity 14.5, hkl 0 0 1
- 28.37 deg, d = 3.146 Å, intensity 10.7, hkl 1 1 0
- 34.03 deg, d = 2.634 Å, intensity 100.0, hkl 1 1 1
- 37.32 deg, d = 2.410 Å, intensity 19.5, hkl 0 0 2
- 40.56 deg, d = 2.224 Å, intensity 31.1, hkl 2 0 0
- 56.29 deg, d = 1.634 Å, intensity 24.1, hkl 2 0 2
- 58.70 deg, d = 1.573 Å, intensity 10.6, hkl 2 2 0
- 65.21 deg, d = 1.431 Å, intensity 15.5, hkl 1 1 3
- 69.62 deg, d = 1.350 Å, intensity 25.7, hkl 3 1 1
- 71.65 deg, d = 1.317 Å, intensity 11.8, hkl 2 2 2

***

Entry 5:
This entry pairs a crystal structure of Pu2ZrSb3 with its calculated PXRD pattern. Radiation: λ = 1.5418 Å (Cu Kα). Structure: a cell relaxed with GGA-PBE.
Intensities are scaled so that the largest is 100.

Atomic structure:
Cell: 4.3368 4.3368 18.2497 Å, 90.00 90.00 90.00°
Space group I4/mmm (No. 139)
One atom of each set of equivalent atoms:
Pu 0.0000 0.0000 0.1675 (multiplicity 4)
Zr 0.0000 0.0000 0.5000 (multiplicity 2)
Sb 0.0000 0.0000 0.0000 (multiplicity 2)
Sb 0.0000 0.0000 0.3390 (multiplicity 4)

The 10 most intense peaks (10 to 80 degrees two-theta), in order of rising 2θ:
- 29.12 deg, d = 3.067 Å, intensity 100.0, hkl 1 1 0
- 29.36 deg, d = 3.042 Å, intensity 48.3, hkl 0 0 6
- 41.65 deg, d = 2.168 Å, intensity 38.3, hkl 2 0 0
- 41.83 deg, d = 2.160 Å, intensity 74.7, hkl 1 1 6
- 51.78 deg, d = 1.766 Å, intensity 40.2, hkl 2 0 6
- 60.37 deg, d = 1.533 Å, intensity 12.8, hkl 2 2 0
- 68.41 deg, d = 1.371 Å, intensity 17.7, hkl 3 1 0
- 68.54 deg, d = 1.369 Å, intensity 17.4, hkl 2 2 6
- 68.92 deg, d = 1.362 Å, intensity 16.5, hkl 1 1 12
- 76.14 deg, d = 1.250 Å, intensity 25.9, hkl 3 1 6

***

Entry 6:
This entry pairs a crystal structure of PuSc4 with its calculated PXRD pattern. Radiation: λ = 1.5418 Å (Cu Kα). Structure: a cell relaxed with GGA-PBE.
Intensities are scaled so that the largest is 100.

Atomic structure:
Cell: 5.2492 17.4664 5.4182 Å, 90.00 90.00 90.00°
Space group Cmce (No. 64)
One atom of each set of equivalent atoms:
Pu 0.0000 0.0000 0.0000 (multiplicity 4)
Sc 0.0000 0.1047 0.4578 (multiplicity 8)
Sc 0.0000 0.2010 0.9463 (multiplicity 8)

The 10 most intense peaks (10 to 80 degrees two-theta), in order of rising 2θ:
- 10.13 deg, d = 8.733 Å, intensity 83.6, hkl 0 2 0
- 20.34 deg, d = 4.367 Å, intensity 19.3, hkl 0 4 0
- 24.15 deg, d = 3.685 Å, intensity 55.4, hkl 1 1 1
- 28.20 deg, d = 3.165 Å, intensity 42.1, hkl 1 3 1
- 33.07 deg, d = 2.709 Å, intensity 25.9, hkl 0 0 2
- 34.16 deg, d = 2.625 Å, intensity 27.8, hkl 2 0 0
- 35.02 deg, d = 2.562 Å, intensity 100.0, hkl 1 5 1
- 48.28 deg, d = 1.885 Å, intensity 17.6, hkl 2 0 2
- 60.33 deg, d = 1.534 Å, intensity 15.4, hkl 1 5 3
- 61.71 deg, d = 1.503 Å, intensity 18.5, hkl 3 5 1

***

Entry 7:
This entry pairs a crystal structure of Pu3Sc13 with its calculated PXRD pattern. Radiation: λ = 1.5418 Å (Cu Kα). Structure: a cell relaxed with GGA-PBE.
Intensities are scaled so that the largest is 100.

Atomic structure:
Cell: 6.5810 10.3990 11.3927 Å, 90.00 90.00 90.00°
Space group Amm2 (No. 38)
One atom of each set of equivalent atoms:
Pu 0.0000 0.0000 0.0000 (multiplicity 2)
Pu 0.2442 0.0000 0.2367 (multiplicity 4)
Sc 0.0000 0.0000 0.4901 (multiplicity 2)
Sc 0.0000 0.2466 0.6561 (multiplicity 4)
Sc 0.2467 0.2488 0.9074 (multiplicity 8)
Sc 0.2498 0.0000 0.7418 (multiplicity 4)
Sc 0.5000 0.0000 0.4907 (multiplicity 2)
Sc 0.5000 0.0000 0.9912 (multiplicity 2)
Sc 0.5000 0.2481 0.6580 (multiplicity 4)

The 10 most intense peaks (10 to 80 degrees two-theta), in order of rising 2θ:
- 11.52 deg, d = 7.681 Å, intensity 66.4, hkl 0 1 1
- 17.05 deg, d = 5.200 Å, intensity 24.2, hkl 0 2 0
- 26.88 deg, d = 3.316 Å, intensity 13.7, hkl 0 3 1
- 31.40 deg, d = 2.849 Å, intensity 35.5, hkl 2 0 2
- 34.50 deg, d = 2.600 Å, intensity 23.6, hkl 0 4 0
- 35.94 deg, d = 2.498 Å, intensity 100.0, hkl 2 2 2
- 47.34 deg, d = 1.920 Å, intensity 22.9, hkl 2 4 2
- 55.90 deg, d = 1.645 Å, intensity 16.6, hkl 4 0 0
- 62.75 deg, d = 1.481 Å, intensity 19.0, hkl 2 6 2
- 68.27 deg, d = 1.374 Å, intensity 14.3, hkl 4 2 4

***

Entry 8:
This entry pairs a crystal structure of Pu4Sc with its calculated PXRD pattern. Radiation: λ = 1.5418 Å (Cu Kα). Structure: a cell relaxed with GGA-PBE.
Intensities are scaled so that the largest is 100.

Atomic structure:
Cell: 5.3811 5.3811 5.3811 Å, 90.00 90.00 90.00°
Space group Pm-3m (No. 221)
One atom of each set of equivalent atoms:
Pu 0.0000 0.0000 0.0000 (multiplicity 1)
Pu 0.0000 0.5000 0.5000 (multiplicity 3)
Sc 0.5000 0.5000 0.5000 (multiplicity 1)

The 10 most intense peaks (10 to 80 degrees two-theta), in order of rising 2θ:
- 16.47 deg, d = 5.381 Å, intensity 0.8, hkl 1 0 0
- 23.38 deg, d = 3.805 Å, intensity 0.7, hkl 1 1 0
- 28.74 deg, d = 3.107 Å, intensity 100.0, hkl 1 1 1
- 33.30 deg, d = 2.691 Å, intensity 62.6, hkl 2 0 0
- 47.81 deg, d = 1.903 Å, intensity 46.6, hkl 2 2 0
- 56.74 deg, d = 1.622 Å, intensity 47.4, hkl 3 1 1
- 59.51 deg, d = 1.553 Å, intensity 16.4, hkl 2 2 2
- 69.93 deg, d = 1.345 Å, intensity 7.7, hkl 4 0 0
- 77.29 deg, d = 1.235 Å, intensity 19.8, hkl 3 3 1
- 79.69 deg, d = 1.203 Å, intensity 21.6, hkl 4 2 0

***

Entry 9:
This entry pairs a crystal structure of PuSc3 with its calculated PXRD pattern. Radiation: λ = 1.5418 Å (Cu Kα). Structure: a cell relaxed with GGA-PBE.
Intensities are scaled so that the largest is 100.

Atomic structure:
Cell: 3.2413 5.2686 5.7266 Å, 90.00 90.00 90.00°
Space group Pmm2 (No. 25)
One atom of each set of equivalent atoms:
Pu 0.0000 0.0000 0.0000 (multiplicity 1)
Sc 0.0000 0.5000 0.3232 (multiplicity 1)
Sc 0.5000 0.0000 0.5020 (multiplicity 1)
Sc 0.5000 0.5000 0.8257 (multiplicity 1)

The 10 most intense peaks (10 to 80 degrees two-theta), in order of rising 2θ:
- 15.47 deg, d = 5.727 Å, intensity 61.3, hkl 0 0 1
- 16.83 deg, d = 5.269 Å, intensity 50.7, hkl 0 1 0
- 22.94 deg, d = 3.877 Å, intensity 50.1, hkl 0 1 1
- 31.72 deg, d = 2.821 Å, intensity 41.3, hkl 1 0 1
- 32.43 deg, d = 2.761 Å, intensity 21.8, hkl 1 1 0
- 34.03 deg, d = 2.634 Å, intensity 36.9, hkl 0 2 0
- 35.69 deg, d = 2.516 Å, intensity 55.2, hkl 0 1 2
- 36.12 deg, d = 2.487 Å, intensity 100.0, hkl 1 1 1
- 47.21 deg, d = 1.925 Å, intensity 27.8, hkl 1 2 1
- 62.27 deg, d = 1.491 Å, intensity 20.2, hkl 1 3 1

***

Entry 10:
This entry pairs a crystal structure of Pu2ScSe3 with its calculated PXRD pattern. Radiation: λ = 1.5418 Å (Cu Kα). Structure: a cell relaxed with GGA-PBE.
Intensities are scaled so that the largest is 100.

Atomic structure:
Cell: 4.0035 4.0035 20.5106 Å, 90.00 90.00 120.00°
Space group P6_3/mmc (No. 194)
One atom of each set of equivalent atoms:
Pu 0.3333 0.6667 0.0872 (multiplicity 4)
Sc 0.0000 0.0000 0.2500 (multiplicity 2)
Se 0.0000 0.0000 0.0000 (multiplicity 2)
Se 0.3333 0.6667 0.6715 (multiplicity 4)

The 10 most intense peaks (10 to 80 degrees two-theta), in order of rising 2θ:
- 26.07 deg, d = 3.419 Å, intensity 14.5, hkl 0 0 6
- 28.87 deg, d = 3.092 Å, intensity 100.0, hkl 1 0 3
- 31.14 deg, d = 2.872 Å, intensity 41.1, hkl 1 0 4
- 33.85 deg, d = 2.648 Å, intensity 27.2, hkl 1 0 5
- 40.30 deg, d = 2.238 Å, intensity 36.6, hkl 1 0 7
- 45.30 deg, d = 2.002 Å, intensity 48.4, hkl 1 1 0
- 47.76 deg, d = 1.904 Å, intensity 19.3, hkl 1 0 9
- 54.62 deg, d = 1.680 Å, intensity 17.6, hkl 2 0 3
- 72.75 deg, d = 1.300 Å, intensity 22.1, hkl 1 1 12
- 73.60 deg, d = 1.287 Å, intensity 14.9, hkl 2 1 3

***

Entry 11:
This entry pairs a crystal structure of Pu2ScSe4 with its calculated PXRD pattern. Radiation: λ = 1.5418 Å (Cu Kα). Structure: a cell relaxed with GGA-PBE.
Intensities are scaled so that the largest is 100.

Atomic structure:
Cell: 3.8964 13.5199 13.7960 Å, 90.00 90.00 90.00°
Space group Cmcm (No. 63)
One atom of each set of equivalent atoms:
Pu 0.0000 0.1340 0.0730 (multiplicity 8)
Sc 0.0000 0.3751 0.2500 (multiplicity 4)
Se 0.0000 0.0181 0.2500 (multiplicity 4)
Se 0.0000 0.2166 0.6272 (multiplicity 8)
Se 0.0000 0.5000 0.0000 (multiplicity 4)

The 10 most intense peaks (10 to 80 degrees two-theta), in order of rising 2θ:
- 12.83 deg, d = 6.898 Å, intensity 52.9, hkl 0 0 2
- 23.40 deg, d = 3.802 Å, intensity 100.0, hkl 0 2 3
- 23.77 deg, d = 3.744 Å, intensity 48.5, hkl 1 1 0
- 29.07 deg, d = 3.072 Å, intensity 31.3, hkl 0 2 4
- 30.32 deg, d = 2.947 Å, intensity 55.2, hkl 1 3 0
- 31.03 deg, d = 2.882 Å, intensity 38.2, hkl 1 3 1
- 33.05 deg, d = 2.710 Å, intensity 76.2, hkl 1 3 2
- 40.61 deg, d = 2.221 Å, intensity 50.4, hkl 1 1 5
- 44.79 deg, d = 2.023 Å, intensity 37.9, hkl 0 6 3
- 45.34 deg, d = 2.000 Å, intensity 40.8, hkl 1 5 3

***

Entry 12:
This entry pairs a crystal structure of Sm3PuSc2Se6 with its calculated PXRD pattern. Radiation: λ = 1.5418 Å (Cu Kα). Structure: a cell relaxed with GGA-PBE.
Intensities are scaled so that the largest is 100.

Atomic structure:
Cell: 7.0191 12.1670 7.0974 Å, 90.00 109.34 90.00°
Space group C2/m (No. 12)
One atom of each set of equivalent atoms:
Sm 0.0000 0.0000 0.0000 (multiplicity 2)
Sm 0.0000 0.3380 0.0000 (multiplicity 4)
Pu 0.0000 0.5000 0.5000 (multiplicity 2)
Sc 0.0000 0.1680 0.5000 (multiplicity 4)
Se 0.2308 0.0000 0.7289 (multiplicity 4)
Se 0.2492 0.1725 0.2647 (multiplicity 8)

The 10 most intense peaks (10 to 80 degrees two-theta), in order of rising 2θ:
- 15.23 deg, d = 5.817 Å, intensity 6.8, hkl 1 1 0
- 26.90 deg, d = 3.314 Å, intensity 8.0, hkl 2 0 0
- 31.08 deg, d = 2.878 Å, intensity 100.0, hkl 2 0 -2
- 44.35 deg, d = 2.043 Å, intensity 36.4, hkl 1 3 -3
- 44.71 deg, d = 2.027 Å, intensity 36.3, hkl 3 3 -1
- 54.83 deg, d = 1.674 Å, intensity 6.2, hkl 0 0 4
- 55.45 deg, d = 1.657 Å, intensity 18.9, hkl 4 0 0
- 64.80 deg, d = 1.439 Å, intensity 11.5, hkl 4 0 -4
- 73.31 deg, d = 1.291 Å, intensity 10.7, hkl 3 3 -5
- 73.87 deg, d = 1.283 Å, intensity 16.0, hkl 5 3 -3

***

Entry 13:
This entry pairs a crystal structure of TbPu2ScSe4 with its calculated PXRD pattern. Radiation: λ = 1.5418 Å (Cu Kα). Structure: a cell relaxed with GGA-PBE.
Intensities are scaled so that the largest is 100.

Atomic structure:
Cell: 6.9977 4.0589 7.1020 Å, 90.00 109.45 90.00°
Space group P2/m (No. 10)
One atom of each set of equivalent atoms:
Tb 0.0000 0.0000 0.0000 (multiplicity 1)
Pu 0.5000 0.0000 0.5000 (multiplicity 1)
Pu 0.5000 0.5000 0.0000 (multiplicity 1)
Sc 0.0000 0.5000 0.5000 (multiplicity 1)
Se 0.2359 0.0000 0.7385 (multiplicity 2)
Se 0.2413 0.5000 0.2554 (multiplicity 2)

The 10 most intense peaks (10 to 80 degrees two-theta), in order of rising 2θ:
- 13.42 deg, d = 6.598 Å, intensity 13.1, hkl 1 0 0
- 26.88 deg, d = 3.317 Å, intensity 11.9, hkl 1 1 -1
- 31.10 deg, d = 2.875 Å, intensity 100.0, hkl 1 1 1
- 44.30 deg, d = 2.045 Å, intensity 25.2, hkl 1 1 -3
- 44.51 deg, d = 2.035 Å, intensity 12.3, hkl 2 0 2
- 44.65 deg, d = 2.029 Å, intensity 12.4, hkl 0 2 0
- 44.82 deg, d = 2.022 Å, intensity 24.3, hkl 3 1 -1
- 55.40 deg, d = 1.658 Å, intensity 13.1, hkl 2 2 -2
- 64.85 deg, d = 1.438 Å, intensity 12.1, hkl 2 2 2
- 73.27 deg, d = 1.292 Å, intensity 11.3, hkl 0 2 4

***

Entry 14:
This entry pairs a crystal structure of PuScSi with its calculated PXRD pattern. Radiation: λ = 1.5418 Å (Cu Kα). Structure: a cell relaxed with GGA-PBE.
Intensities are scaled so that the largest is 100.

Atomic structure:
Cell: 4.0873 10.8548 6.1580 Å, 90.00 90.00 90.00°
Space group Cmcm (No. 63)
One atom of each set of equivalent atoms:
Pu 0.0000 0.2025 0.2500 (multiplicity 4)
Sc 0.0000 0.5000 0.0000 (multiplicity 4)
Si 0.0000 0.1018 0.7500 (multiplicity 4)

The 10 most intense peaks (10 to 80 degrees two-theta), in order of rising 2θ:
- 16.33 deg, d = 5.427 Å, intensity 36.5, hkl 0 2 0
- 21.83 deg, d = 4.072 Å, intensity 21.2, hkl 0 2 1
- 27.45 deg, d = 3.249 Å, intensity 100.0, hkl 1 1 1
- 29.00 deg, d = 3.079 Å, intensity 24.4, hkl 0 0 2
- 33.06 deg, d = 2.710 Å, intensity 45.8, hkl 1 3 0
- 33.46 deg, d = 2.678 Å, intensity 37.9, hkl 0 2 2
- 36.20 deg, d = 2.481 Å, intensity 66.5, hkl 0 4 1
- 37.50 deg, d = 2.399 Å, intensity 19.5, hkl 1 1 2
- 50.46 deg, d = 1.809 Å, intensity 20.5, hkl 1 1 3
- 56.55 deg, d = 1.628 Å, intensity 20.3, hkl 1 5 2